Diffraction record for Pu2SbPd6. The XRD peak list is theoretical, not measured: it uses the PBE geometry in Alexandria and Cu Kα (λ = 1.5418 Å).

Principal peaks in the range 2θ from 10° to 90°, sorted by position:
d 3.854, 2θ = 23.08°, rel. 13, hkl 1 0 1
d 3.023, 2θ = 29.55°, rel. 14, hkl 0 0 2
d 2.888, 2θ = 30.97°, rel. 17, hkl 1 1 0
d 2.606, 2θ = 34.42°, rel. 34, hkl 1 1 1
d 2.587, 2θ = 34.67°, rel. 54, hkl 0 1 2
d 2.501, 2θ = 35.91°, rel. 16, hkl 2 0 0
d 2.311, 2θ = 38.97°, rel. 100, hkl 2 0 1
d 1.927, 2θ = 47.16°, rel. 16, hkl 0 2 2
d 1.653, 2θ = 55.61°, rel. 15, hkl 1 1 3
d 1.603, 2θ = 57.50°, rel. 18, hkl 1 2 2
d 1.444, 2θ = 64.54°, rel. 22, hkl 2 2 0
d 1.379, 2θ = 67.99°, rel. 15, hkl 2 1 3

Structural model:
```
data_Pu2SbPd6
_cell_length_a 5.7757
_cell_length_b 5.7757
_cell_length_c 6.0462
_cell_angle_alpha 90.00
_cell_angle_beta 90.00
_cell_angle_gamma 120.00
_symmetry_space_group_name_H-M 'P -3 m 1'
_symmetry_Int_Tables_number 164
_symmetry_space_group_name_Hall '-P 3 2"'
loop_
_atom_site_label
_atom_site_fract_x
_atom_site_fract_y
_atom_site_fract_z
_atom_site_occupancy
Pu1 0.3333 0.6667 0.1723 1
Sb1 0.0000 0.0000 0.0000 1
Pd1 0.1762 0.3524 0.6784 1
```